(1)
Simulated XRD peak list
Compound: Li2Si2NiO6
Radiation: Cu Kα
Structure: a crystal structure in Alexandria, relaxed with GGA+U
Kinematic intensities with the Lorentz-polarization factor, no thermal factor.

a b c (Å): 5.129 5.146 10.294
angles (deg): 102.95 104.25 91.55
Space group P1 (No. 1)
One atom of each set of equivalent atoms:
Li1 0.000 0.000 0.000 [1 per cell]
Li2 0.084 0.589 0.169 [1 per cell]
Li3 0.370 0.283 0.667 [1 per cell]
Li4 0.794 0.201 0.498 [1 per cell]
Si1 0.131 0.718 0.497 [1 per cell]
Si2 0.515 0.348 0.999 [1 per cell]
Si3 0.604 0.928 0.172 [1 per cell]
Si4 0.719 0.803 0.670 [1 per cell]
Ni1 0.197 0.154 0.334 [1 per cell]
Ni2 0.934 0.395 0.832 [1 per cell]
O1 0.096 0.519 0.347 [1 per cell]
O2 0.137 0.036 0.498 [1 per cell]
O3 0.312 0.327 0.849 [1 per cell]
O4 0.405 0.652 0.609 [1 per cell]
O5 0.428 0.094 0.061 [1 per cell]
O6 0.455 0.617 0.111 [1 per cell]
O7 0.550 0.039 0.322 [1 per cell]
O8 0.716 0.116 0.663 [1 per cell]
O9 0.835 0.352 0.002 [1 per cell]
O10 0.849 0.759 0.822 [1 per cell]
O11 0.880 0.629 0.560 [1 per cell]
O12 0.921 0.934 0.171 [1 per cell]

Top 6 peaks for 2θ = 15–90°, low angle first:
index	two_theta	I/Imax
0 1 1	21.87	51
1 0 1	22.14	100
0 1 -2	22.31	48
0 2 -1	34.89	31
2 0 -1	35.00	31
1 1 2	37.28	19


(2)
Simulated XRD peak list
Compound: Li2Si4Ni5O14
Radiation: Cu Kα
Structure: a crystal structure in Alexandria, relaxed with GGA+U
Kinematic intensities with the Lorentz-polarization factor, no thermal factor.

a b c (Å): 5.378 7.362 7.944
angles (deg): 114.12 91.19 104.18
Space group P-1 (No. 2)
One atom of each set of equivalent atoms:
Li1 0.231 0.102 0.457 [2 per cell]
Si1 0.203 0.784 0.605 [2 per cell]
Si2 0.488 0.781 0.136 [2 per cell]
Ni1 0.000 0.000 0.000 [1 per cell]
Ni2 0.086 0.411 0.810 [2 per cell]
Ni3 0.368 0.410 0.295 [2 per cell]
O1 0.033 0.187 0.267 [2 per cell]
O2 0.105 0.810 0.423 [2 per cell]
O3 0.183 0.677 0.042 [2 per cell]
O4 0.299 0.577 0.566 [2 per cell]
O5 0.327 0.216 0.023 [2 per cell]
O6 0.419 0.338 0.746 [2 per cell]
O7 0.474 0.975 0.712 [2 per cell]

Top 6 peaks for 2θ = 15–90°, low angle first:
index	two_theta	I/Imax
1 -2 1	26.76	100
1 1 -2	28.81	48
1 -2 2	30.82	76
0 1 2	33.33	64
1 2 -1	33.78	43
-2 1 1	36.35	41